# GdRh6
Calculated powder XRD pattern, Cu Ka. Input: a structure optimized by DFT (PBE).

Principal peaks in the range 5° ≤ 2θ ≤ 70°, by angle:
| Position (°2θ) | d/Å | I/Imax |
| --- | --- | --- |
| 26.4 | 3.372 | 430 |
| 32.5 | 2.753 | 1000 |
| 46.7 | 1.947 | 205 |
| 50.7 | 1.802 | 568 |
| 54.4 | 1.686 | 264 |
| 61.5 | 1.508 | 157 |

Crystal structure
```
data_GdRh6
_symmetry_space_group_name_H-M 'P 1'
_symmetry_Int_Tables_number 1
_cell_length_a 5.840
_cell_length_b 5.840
_cell_length_c 5.840
_cell_angle_alpha 109.47
_cell_angle_beta 109.47
_cell_angle_gamma 109.47
loop_
_symmetry_equiv_pos_as_xyz
'x,y,z'
loop_
_atom_site_label
_atom_site_type_symbol
_atom_site_fract_x
_atom_site_fract_y
_atom_site_fract_z
_atom_site_occupancy
Gd1 Gd 0.000 0.000 0.000 1
Rh1 Rh 0.250 0.500 0.750 1
Rh2 Rh 0.250 0.750 0.500 1
Rh3 Rh 0.500 0.250 0.750 1
Rh4 Rh 0.500 0.750 0.250 1
Rh5 Rh 0.750 0.250 0.500 1
Rh6 Rh 0.750 0.500 0.250 1
```

=====

# GdSiRu
Calculated powder XRD pattern, Cu Ka. Input: a structure optimized by DFT (PBE).

Principal peaks in the range 5° ≤ 2θ ≤ 70°, by angle:
| Position (°2θ) | d/Å | I/Imax |
| --- | --- | --- |
| 25.0 | 3.561 | 744 |
| 32.9 | 2.720 | 750 |
| 34.3 | 2.613 | 536 |
| 40.6 | 2.220 | 1000 |
| 42.9 | 2.107 | 578 |
| 60.6 | 1.528 | 263 |

Crystal structure
```
data_GdSiRu
_symmetry_space_group_name_H-M 'P 1'
_symmetry_Int_Tables_number 1
_cell_length_a 4.214
_cell_length_b 4.214
_cell_length_c 6.660
_cell_angle_alpha 90.00
_cell_angle_beta 90.00
_cell_angle_gamma 90.00
loop_
_symmetry_equiv_pos_as_xyz
'x,y,z'
loop_
_atom_site_label
_atom_site_type_symbol
_atom_site_fract_x
_atom_site_fract_y
_atom_site_fract_z
_atom_site_occupancy
Gd1 Gd 0.250 0.250 0.178 1
Gd2 Gd 0.750 0.750 0.822 1
Si1 Si 0.250 0.250 0.685 1
Si2 Si 0.750 0.750 0.315 1
Ru1 Ru 0.250 0.750 0.500 1
Ru2 Ru 0.750 0.250 0.500 1
```

=====

# GdTmRu
Calculated powder XRD pattern, Cu Ka. Input: a structure optimized by DFT (PBE).

Principal peaks in the range 5° ≤ 2θ ≤ 70°, by angle:
| Position (°2θ) | d/Å | I/Imax |
| --- | --- | --- |
| 27.2 | 3.280 | 218 |
| 33.6 | 2.666 | 1000 |
| 37.5 | 2.398 | 581 |
| 44.0 | 2.058 | 404 |
| 54.1 | 1.695 | 202 |
| 65.2 | 1.431 | 292 |

Crystal structure
```
data_GdTmRu
_symmetry_space_group_name_H-M 'P 1'
_symmetry_Int_Tables_number 1
_cell_length_a 6.904
_cell_length_b 6.904
_cell_length_c 6.904
_cell_angle_alpha 151.57
_cell_angle_beta 151.57
_cell_angle_gamma 40.64
loop_
_symmetry_equiv_pos_as_xyz
'x,y,z'
loop_
_atom_site_label
_atom_site_type_symbol
_atom_site_fract_x
_atom_site_fract_y
_atom_site_fract_z
_atom_site_occupancy
Gd1 Gd 0.000 0.000 0.000 1
Tm1 Tm 0.254 0.254 0.000 1
Ru1 Ru 0.632 0.632 0.000 1
```

=====

# GdZrRu
Calculated powder XRD pattern, Cu Ka. Input: a structure optimized by DFT (PBE).

Principal peaks in the range 5° ≤ 2θ ≤ 70°, by angle:
| Position (°2θ) | d/Å | I/Imax |
| --- | --- | --- |
| 27.6 | 3.234 | 116 |
| 35.3 | 2.543 | 1000 |
| 37.8 | 2.380 | 482 |
| 54.5 | 1.683 | 165 |
| 61.7 | 1.504 | 122 |
| 66.6 | 1.404 | 306 |

Crystal structure
```
data_GdZrRu
_symmetry_space_group_name_H-M 'P 1'
_symmetry_Int_Tables_number 1
_cell_length_a 6.291
_cell_length_b 6.291
_cell_length_c 6.291
_cell_angle_alpha 148.96
_cell_angle_beta 148.96
_cell_angle_gamma 44.47
loop_
_symmetry_equiv_pos_as_xyz
'x,y,z'
loop_
_atom_site_label
_atom_site_type_symbol
_atom_site_fract_x
_atom_site_fract_y
_atom_site_fract_z
_atom_site_occupancy
Gd1 Gd 0.000 0.000 0.000 1
Zr1 Zr 0.286 0.286 0.000 1
Ru1 Ru 0.664 0.664 0.000 1
```

=====

# Gd2S3
Calculated powder XRD pattern, Cu Ka. Input: a structure optimized by DFT (PBE).

Principal peaks in the range 5° ≤ 2θ ≤ 70°, by angle:
| Position (°2θ) | d/Å | I/Imax |
| --- | --- | --- |
| 23.6 | 3.769 | 1000 |
| 26.2 | 3.396 | 571 |
| 26.6 | 3.347 | 502 |
| 29.5 | 3.026 | 504 |
| 35.2 | 2.548 | 587 |
| 38.0 | 2.369 | 499 |

Crystal structure
```
data_Gd2S3
_symmetry_space_group_name_H-M 'P 1'
_symmetry_Int_Tables_number 1
_cell_length_a 10.757
_cell_length_b 3.929
_cell_length_c 10.566
_cell_angle_alpha 90.00
_cell_angle_beta 90.00
_cell_angle_gamma 90.00
loop_
_symmetry_equiv_pos_as_xyz
'x,y,z'
loop_
_atom_site_label
_atom_site_type_symbol
_atom_site_fract_x
_atom_site_fract_y
_atom_site_fract_z
_atom_site_occupancy
Gd1 Gd 0.009 0.250 0.186 1
Gd2 Gd 0.191 0.250 0.505 1
Gd3 Gd 0.309 0.750 0.005 1
Gd4 Gd 0.491 0.750 0.686 1
Gd5 Gd 0.509 0.250 0.314 1
Gd6 Gd 0.691 0.250 0.995 1
Gd7 Gd 0.809 0.750 0.495 1
Gd8 Gd 0.991 0.750 0.814 1
S1 S 0.047 0.750 0.373 1
S2 S 0.120 0.250 0.944 1
S3 S 0.228 0.750 0.697 1
S4 S 0.272 0.250 0.197 1
S5 S 0.380 0.750 0.444 1
S6 S 0.453 0.250 0.873 1
S7 S 0.547 0.750 0.127 1
S8 S 0.620 0.250 0.556 1
S9 S 0.728 0.750 0.803 1
S10 S 0.772 0.250 0.303 1
S11 S 0.880 0.750 0.056 1
S12 S 0.953 0.250 0.627 1
```

=====

# Gd3Sc2S7
Calculated powder XRD pattern, Cu Ka. Input: a structure optimized by DFT (PBE).

Principal peaks in the range 5° ≤ 2θ ≤ 70°, by angle:
| Position (°2θ) | d/Å | I/Imax |
| --- | --- | --- |
| 8.0 | 11.056 | 1000 |
| 24.6 | 3.616 | 964 |
| 24.8 | 3.597 | 910 |
| 25.3 | 3.514 | 615 |
| 32.6 | 2.750 | 861 |
| 35.0 | 2.561 | 670 |

Crystal structure
```
data_Gd3Sc2S7
_symmetry_space_group_name_H-M 'P 1'
_symmetry_Int_Tables_number 1
_cell_length_a 6.513
_cell_length_b 6.513
_cell_length_c 11.469
_cell_angle_alpha 104.75
_cell_angle_beta 104.75
_cell_angle_gamma 33.76
loop_
_symmetry_equiv_pos_as_xyz
'x,y,z'
loop_
_atom_site_label
_atom_site_type_symbol
_atom_site_fract_x
_atom_site_fract_y
_atom_site_fract_z
_atom_site_occupancy
Gd1 Gd 0.000 0.000 0.000 1
Gd2 Gd 0.305 0.305 0.204 1
Gd3 Gd 0.695 0.695 0.796 1
Sc1 Sc 0.112 0.112 0.430 1
Sc2 Sc 0.888 0.888 0.570 1
S1 S 0.030 0.030 0.775 1
S2 S 0.265 0.265 0.636 1
S3 S 0.337 0.337 0.945 1
S4 S 0.500 0.500 0.500 1
S5 S 0.663 0.663 0.055 1
S6 S 0.735 0.735 0.364 1
S7 S 0.970 0.970 0.225 1
```

=====

# Gd4Sb3
Calculated powder XRD pattern, Cu Ka. Input: a structure optimized by DFT (PBE).

Principal peaks in the range 5° ≤ 2θ ≤ 70°, by angle:
| Position (°2θ) | d/Å | I/Imax |
| --- | --- | --- |
| 30.4 | 2.945 | 1000 |
| 36.1 | 2.489 | 684 |
| 47.9 | 1.901 | 183 |
| 49.9 | 1.826 | 232 |
| 61.4 | 1.511 | 252 |
| 64.9 | 1.437 | 147 |

Crystal structure
```
data_Gd4Sb3
_symmetry_space_group_name_H-M 'P 1'
_symmetry_Int_Tables_number 1
_cell_length_a 8.064
_cell_length_b 8.064
_cell_length_c 8.064
_cell_angle_alpha 109.47
_cell_angle_beta 109.47
_cell_angle_gamma 109.47
loop_
_symmetry_equiv_pos_as_xyz
'x,y,z'
loop_
_atom_site_label
_atom_site_type_symbol
_atom_site_fract_x
_atom_site_fract_y
_atom_site_fract_z
_atom_site_occupancy
Gd1 Gd 0.000 0.145 0.500 1
Gd2 Gd 0.000 0.645 0.500 1
Gd3 Gd 0.145 0.500 0.000 1
Gd4 Gd 0.355 0.355 0.355 1
Gd5 Gd 0.500 0.000 0.145 1
Gd6 Gd 0.500 0.000 0.645 1
Gd7 Gd 0.645 0.500 0.000 1
Gd8 Gd 0.855 0.855 0.855 1
Sb1 Sb 0.125 0.875 0.250 1
Sb2 Sb 0.250 0.125 0.875 1
Sb3 Sb 0.375 0.625 0.750 1
Sb4 Sb 0.625 0.750 0.375 1
Sb5 Sb 0.750 0.375 0.625 1
Sb6 Sb 0.875 0.250 0.125 1
```

=====

# SmGdSb
Calculated powder XRD pattern, Cu Ka. Input: a structure optimized by DFT (PBE).

Principal peaks in the range 5° ≤ 2θ ≤ 70°, by angle:
| Position (°2θ) | d/Å | I/Imax |
| --- | --- | --- |
| 31.1 | 2.879 | 656 |
| 33.9 | 2.646 | 1000 |
| 44.5 | 2.036 | 244 |
| 57.1 | 1.613 | 446 |
| 62.3 | 1.489 | 150 |
| 64.8 | 1.440 | 79 |

Crystal structure
```
data_SmGdSb
_symmetry_space_group_name_H-M 'P 1'
_symmetry_Int_Tables_number 1
_cell_length_a 5.962
_cell_length_b 5.962
_cell_length_c 5.962
_cell_angle_alpha 140.07
_cell_angle_beta 140.07
_cell_angle_gamma 57.75
loop_
_symmetry_equiv_pos_as_xyz
'x,y,z'
loop_
_atom_site_label
_atom_site_type_symbol
_atom_site_fract_x
_atom_site_fract_y
_atom_site_fract_z
_atom_site_occupancy
Sm1 Sm 0.000 0.000 0.000 1
Gd1 Gd 0.692 0.692 0.000 1
Sb1 Sb 0.344 0.344 0.000 1
```

=====

# GdTmSc2
Calculated powder XRD pattern, Cu Ka. Input: a structure optimized by DFT (PBE).

Principal peaks in the range 5° ≤ 2θ ≤ 70°, by angle:
| Position (°2θ) | d/Å | I/Imax |
| --- | --- | --- |
| 23.4 | 3.809 | 380 |
| 33.3 | 2.693 | 1000 |
| 41.0 | 2.199 | 122 |
| 47.8 | 1.904 | 179 |
| 53.8 | 1.703 | 172 |
| 59.4 | 1.555 | 368 |

Crystal structure
```
data_GdTmSc2
_symmetry_space_group_name_H-M 'P 1'
_symmetry_Int_Tables_number 1
_cell_length_a 5.386
_cell_length_b 5.386
_cell_length_c 5.386
_cell_angle_alpha 60.00
_cell_angle_beta 60.00
_cell_angle_gamma 60.00
loop_
_symmetry_equiv_pos_as_xyz
'x,y,z'
loop_
_atom_site_label
_atom_site_type_symbol
_atom_site_fract_x
_atom_site_fract_y
_atom_site_fract_z
_atom_site_occupancy
Gd1 Gd 0.000 0.000 0.000 1
Tm1 Tm 0.500 0.500 0.500 1
Sc1 Sc 0.250 0.250 0.250 1
Sc2 Sc 0.750 0.750 0.750 1
```

=====

# Gd2TmSc
Calculated powder XRD pattern, Cu Ka. Input: a structure optimized by DFT (PBE).

Principal peaks in the range 5° ≤ 2θ ≤ 70°, by angle:
| Position (°2θ) | d/Å | I/Imax |
| --- | --- | --- |
| 7.9 | 11.223 | 298 |
| 31.5 | 2.841 | 1000 |
| 31.9 | 2.806 | 316 |
| 36.6 | 2.452 | 660 |
| 52.5 | 1.742 | 237 |
| 62.8 | 1.480 | 269 |

Crystal structure
```
data_Gd2TmSc
_symmetry_space_group_name_H-M 'P 1'
_symmetry_Int_Tables_number 1
_cell_length_a 11.402
_cell_length_b 11.402
_cell_length_c 11.402
_cell_angle_alpha 17.58
_cell_angle_beta 17.58
_cell_angle_gamma 17.58
loop_
_symmetry_equiv_pos_as_xyz
'x,y,z'
loop_
_atom_site_label
_atom_site_type_symbol
_atom_site_fract_x
_atom_site_fract_y
_atom_site_fract_z
_atom_site_occupancy
Gd1 Gd 0.247 0.247 0.247 1
Gd2 Gd 0.753 0.753 0.753 1
Tm1 Tm 0.000 0.000 0.000 1
Sc1 Sc 0.500 0.500 0.500 1
```

=====

# Gd2ThSe
Calculated powder XRD pattern, Cu Ka. Input: a structure optimized by DFT (PBE).

Principal peaks in the range 5° ≤ 2θ ≤ 70°, by angle:
| Position (°2θ) | d/Å | I/Imax |
| --- | --- | --- |
| 26.7 | 3.336 | 229 |
| 32.5 | 2.757 | 1000 |
| 35.0 | 2.566 | 463 |
| 50.3 | 1.815 | 167 |
| 56.3 | 1.634 | 146 |
| 61.1 | 1.516 | 330 |

Crystal structure
```
data_Gd2ThSe
_symmetry_space_group_name_H-M 'P 1'
_symmetry_Int_Tables_number 1
_cell_length_a 3.629
_cell_length_b 3.629
_cell_length_c 8.478
_cell_angle_alpha 90.00
_cell_angle_beta 90.00
_cell_angle_gamma 90.00
loop_
_symmetry_equiv_pos_as_xyz
'x,y,z'
loop_
_atom_site_label
_atom_site_type_symbol
_atom_site_fract_x
_atom_site_fract_y
_atom_site_fract_z
_atom_site_occupancy
Gd1 Gd 0.000 0.000 0.212 1
Gd2 Gd 0.000 0.000 0.788 1
Th1 Th 0.500 0.500 0.500 1
Se1 Se 0.500 0.500 0.000 1
```